# 1
Nd2Te2W2O13: computed X-ray diffraction stick pattern (CuKα), based on a structure optimized by DFT (GGA+U).
Intensities are scaled so that the largest is 100.

Atomic structure:
Unit cell a=6.731 b=6.993 c=11.773 alpha=90.58 beta=98.38 gamma=93.55
Space group P-1 (No. 2)
Unique sites:
Nd: 0.132 0.372 0.368 (multiplicity 2)
Nd: 0.269 0.871 0.882 (multiplicity 2)
Te: 0.251 0.387 0.051 (multiplicity 2)
Te: 0.330 0.821 0.559 (multiplicity 2)
W: 0.253 0.881 0.187 (multiplicity 2)
W: 0.390 0.377 0.702 (multiplicity 2)
O: 0.014 0.101 0.854 (multiplicity 2)
O: 0.077 0.320 0.158 (multiplicity 2)
O: 0.119 0.654 0.487 (multiplicity 2)
O: 0.150 0.458 0.723 (multiplicity 2)
O: 0.178 0.854 0.680 (multiplicity 2)
O: 0.228 0.669 0.048 (multiplicity 2)
O: 0.297 0.047 0.310 (multiplicity 2)
O: 0.298 0.652 0.281 (multiplicity 2)
O: 0.321 0.249 0.565 (multiplicity 2)
O: 0.344 0.048 0.070 (multiplicity 2)
O: 0.424 0.168 0.804 (multiplicity 2)
O: 0.489 0.586 0.854 (multiplicity 2)
O: 0.491 0.613 0.623 (multiplicity 2)

Largest 6 diffraction maxima, most intense first, 10 to 80 degrees two-theta:
- 2θ = 28.13°, rel. 100
- 2θ = 26.49°, rel. 84
- 2θ = 29.67°, rel. 44
- 2θ = 28.98°, rel. 35
- 2θ = 30.54°, rel. 32
- 2θ = 26.83°, rel. 29

***

# 2
NdVO4: computed X-ray diffraction stick pattern (CuKα), based on a structure optimized by DFT (GGA+U).
Intensities are scaled so that the largest is 100.

Atomic structure:
Unit cell a=7.439 b=7.439 c=6.503 alpha=90.00 beta=90.00 gamma=90.00
Space group I4_1/amd (No. 141, origin choice 2)
Unique sites:
Nd: 0.000 0.250 0.375 (multiplicity 4)
V: 0.000 0.250 0.875 (multiplicity 4)
O: 0.000 0.070 0.704 (multiplicity 16)

Largest 6 diffraction maxima, most intense first, 10 to 80 degrees two-theta:
- 2θ = 23.92°, rel. 100
- 2θ = 32.37°, rel. 68
- 2θ = 47.72°, rel. 58
- 2θ = 18.12°, rel. 32
- 2θ = 34.09°, rel. 21
- 2θ = 59.94°, rel. 17

***

# 3
Nd2V2O7: computed X-ray diffraction stick pattern (CuKα), based on a structure optimized by DFT (GGA+U).
Intensities are scaled so that the largest is 100.

Atomic structure:
Unit cell a=10.342 b=10.342 c=10.342 alpha=90.00 beta=90.00 gamma=90.00
Space group Fd-3m (No. 227, origin choice 2)
Unique sites:
Nd: 0.000 0.000 0.000 (multiplicity 16)
V: 0.000 0.000 0.500 (multiplicity 16)
O: 0.077 0.375 0.875 (multiplicity 48)
O: 0.125 0.125 0.125 (multiplicity 8)

Largest 6 diffraction maxima, most intense first, 10 to 80 degrees two-theta:
- 2θ = 29.93°, rel. 100
- 2θ = 49.88°, rel. 48
- 2θ = 59.27°, rel. 41
- 2θ = 34.70°, rel. 29
- 2θ = 14.84°, rel. 23
- 2θ = 37.92°, rel. 19

***

# 4
Nd2WO6: computed X-ray diffraction stick pattern (CuKα), based on a structure optimized by DFT (GGA+U).
Intensities are scaled so that the largest is 100.

Atomic structure:
Unit cell a=17.130 b=11.754 c=5.705 alpha=90.00 beta=108.30 gamma=90.00
Space group C2/c (No. 15)
Unique sites:
Nd: 0.000 0.108 0.250 (multiplicity 4)
Nd: 0.000 0.370 0.750 (multiplicity 4)
Nd: 0.177 0.114 0.882 (multiplicity 8)
W: 0.150 0.352 0.444 (multiplicity 8)
O: 0.078 0.241 0.579 (multiplicity 8)
O: 0.080 0.462 0.483 (multiplicity 8)
O: 0.094 0.015 0.073 (multiplicity 8)
O: 0.106 0.282 0.141 (multiplicity 8)
O: 0.228 0.298 0.732 (multiplicity 8)
O: 0.228 0.443 0.374 (multiplicity 8)

Largest 6 diffraction maxima, most intense first, 10 to 80 degrees two-theta:
- 2θ = 27.11°, rel. 100
- 2θ = 27.49°, rel. 79
- 2θ = 44.26°, rel. 23
- 2θ = 30.42°, rel. 23
- 2θ = 45.53°, rel. 22
- 2θ = 31.37°, rel. 20

***

# 5
NdWO5: computed X-ray diffraction stick pattern (CuKα), based on a structure optimized by DFT (GGA+U).
Intensities are scaled so that the largest is 100.

Atomic structure:
Unit cell a=5.376 b=13.190 c=7.249 alpha=90.00 beta=116.01 gamma=90.00
Space group P2_1/c (No. 14)
Unique sites:
Nd: 0.131 0.056 0.284 (multiplicity 4)
W: 0.377 0.141 0.846 (multiplicity 4)
O: 0.046 0.094 0.580 (multiplicity 4)
O: 0.188 0.072 0.969 (multiplicity 4)
O: 0.280 0.641 0.440 (multiplicity 4)
O: 0.296 0.226 0.307 (multiplicity 4)
O: 0.495 0.067 0.664 (multiplicity 4)

Largest 6 diffraction maxima, most intense first, 10 to 80 degrees two-theta:
- 2θ = 19.57°, rel. 100
- 2θ = 26.78°, rel. 88
- 2θ = 27.41°, rel. 77
- 2θ = 30.61°, rel. 76
- 2θ = 26.30°, rel. 60
- 2θ = 28.22°, rel. 52

***

# 6
NdWO2: computed X-ray diffraction stick pattern (CuKα), based on a structure optimized by DFT (GGA+U).
Intensities are scaled so that the largest is 100.

Atomic structure:
Unit cell a=6.461 b=6.461 c=12.338 alpha=90.00 beta=90.00 gamma=90.00
Space group I4_1/amd (No. 141, origin choice 2)
Unique sites:
Nd: 0.000 0.000 0.000 (multiplicity 8)
W: 0.000 0.000 0.500 (multiplicity 8)
O: 0.000 0.032 0.201 (multiplicity 16)

Largest 6 diffraction maxima, most intense first, 10 to 80 degrees two-theta:
- 2θ = 31.25°, rel. 100
- 2θ = 28.95°, rel. 39
- 2θ = 39.45°, rel. 38
- 2θ = 49.66°, rel. 35
- 2θ = 52.77°, rel. 29
- 2θ = 66.46°, rel. 25

***

# 7
Nd2WO6: computed X-ray diffraction stick pattern (CuKα), based on a structure optimized by DFT (GGA+U).
Intensities are scaled so that the largest is 100.

Atomic structure:
Unit cell a=5.451 b=9.425 c=10.292 alpha=90.00 beta=90.00 gamma=90.00
Space group P2_12_12_1 (No. 19)
Unique sites:
Nd: 0.023 0.104 0.462 (multiplicity 4)
Nd: 0.035 0.219 0.868 (multiplicity 4)
W: 0.041 0.496 0.352 (multiplicity 4)
O: 0.075 0.848 0.028 (multiplicity 4)
O: 0.170 0.951 0.289 (multiplicity 4)
O: 0.184 0.638 0.241 (multiplicity 4)
O: 0.190 0.635 0.821 (multiplicity 4)
O: 0.223 0.112 0.065 (multiplicity 4)
O: 0.249 0.588 0.491 (multiplicity 4)

Largest 6 diffraction maxima, most intense first, 10 to 80 degrees two-theta:
- 2θ = 26.46°, rel. 100
- 2θ = 32.26°, rel. 63
- 2θ = 25.61°, rel. 58
- 2θ = 32.86°, rel. 33
- 2θ = 24.98°, rel. 30
- 2θ = 52.10°, rel. 28

***

# 8
Ni4O: computed X-ray diffraction stick pattern (CuKα), based on a structure optimized by DFT (GGA+U).
Intensities are scaled so that the largest is 100.

Atomic structure:
Unit cell a=3.863 b=3.863 c=3.863 alpha=90.00 beta=90.00 gamma=90.00
Space group Pm-3m (No. 221)
Unique sites:
Ni: 0.000 0.000 0.000 (multiplicity 1)
Ni: 0.000 0.500 0.500 (multiplicity 3)
O: 0.500 0.500 0.500 (multiplicity 1)

Largest 5 diffraction maxima, most intense first, 10 to 80 degrees two-theta:
- 2θ = 40.45°, rel. 100
- 2θ = 47.05°, rel. 60
- 2θ = 68.74°, rel. 35
- 2θ = 23.03°, rel. 2
- 2θ = 32.79°, rel. 1

***

# 9
Ni2O5: computed X-ray diffraction stick pattern (CuKα), based on a structure optimized by DFT (GGA+U).
Intensities are scaled so that the largest is 100.

Atomic structure:
Unit cell a=11.164 b=4.780 c=5.447 alpha=90.00 beta=101.38 gamma=90.00
Space group C2/c (No. 15)
Unique sites:
Ni: 0.142 0.223 0.301 (multiplicity 8)
O: 0.000 0.016 0.250 (multiplicity 4)
O: 0.058 0.477 0.003 (multiplicity 8)
O: 0.212 0.068 0.622 (multiplicity 8)

Largest 6 diffraction maxima, most intense first, 10 to 80 degrees two-theta:
- 2θ = 25.26°, rel. 100
- 2θ = 32.74°, rel. 45
- 2θ = 37.55°, rel. 33
- 2θ = 50.72°, rel. 20
- 2θ = 54.06°, rel. 17
- 2θ = 57.96°, rel. 14

***

# 10
Ni15O16: computed X-ray diffraction stick pattern (CuKα), based on a structure optimized by DFT (GGA+U).
Intensities are scaled so that the largest is 100.

Atomic structure:
Unit cell a=8.403 b=8.403 c=8.403 alpha=90.00 beta=90.00 gamma=90.00
Space group Im-3m (No. 229)
Unique sites:
Ni: 0.000 0.000 0.500 (multiplicity 6)
Ni: 0.000 0.246 0.246 (multiplicity 24)
O: 0.000 0.000 0.269 (multiplicity 12)
O: 0.000 0.250 0.500 (multiplicity 12)
O: 0.250 0.250 0.250 (multiplicity 8)

Largest 6 diffraction maxima, most intense first, 10 to 80 degrees two-theta:
- 2θ = 43.06°, rel. 100
- 2θ = 37.06°, rel. 71
- 2θ = 62.53°, rel. 57
- 2θ = 74.98°, rel. 27
- 2θ = 78.94°, rel. 18
- 2θ = 25.97°, rel. 8